Structure and simulated powder XRD pattern of Li2TiCr2O6 (a DFT-relaxed cell (GGA+U, the Materials Project); Cu Kα).

Structure:
a = 8.895 Å, b = 5.135 Å, c = 10.214 Å
α = 90.00°, β = 90.00°, γ = 90.00°
Space group Cmce (No. 64)
One atom of each set of equivalent atoms:
Li (0.250, 0.102, 0.250)
Ti (0.000, 0.000, 0.000)
Cr (0.164, 0.000, 0.500)
O (0.000, 0.178, 0.599)
O (0.168, 0.162, 0.894)

Peak list (10 most intense, 15 to 90 degrees two-theta, sorted by position)
2θ 17.37, I = 100, (0 0 2)
2θ 34.95, I = 6, (0 2 0)
2θ 36.07, I = 28, (3 1 1)
2θ 39.28, I = 25, (0 2 2)
2θ 44.18, I = 36, (3 1 3)
2θ 50.40, I = 15, (0 2 4)
2θ 57.67, I = 18, (3 1 5)
2θ 63.41, I = 16, (3 3 1)
2θ 76.51, I = 6, (0 4 2)
2θ 84.46, I = 7, (6 2 4)